(1)
Diffraction record for CaRe2F. The powder diffraction line list is computed, not measured: it uses a structure optimized by DFT (PBE) and Cu Ka.
Kinematic intensities with the Lorentz-polarization factor, no thermal factor.

Principal peaks in the range 2θ = 10–90°, in order of rising 2θ:
| two_theta | I_rel |
| --- | --- |
| 19.6 | 100 |
| 21.7 | 64 |
| 24.9 | 80 |
| 33.3 | 38 |
| 39.8 | 81 |
| 51.2 | 39 |

Structure:
```
CaRe2F
1.0
-2.3575 2.3575 8.1977
2.3575 -2.3575 8.1977
2.3575 2.3575 -8.1977
Ca Re F
2 4 2
Direct
0.3750 0.6250 0.7500
0.6250 0.3750 0.2500
0.0000 0.0000 0.0000
0.0000 0.0000 0.5000
0.0000 0.5000 0.0000
0.5000 0.0000 0.5000
0.1250 0.8750 0.2500
0.8750 0.1250 0.7500
```

(2)
Diffraction record for CaZnSiSF. The powder diffraction line list is computed, not measured: it uses a structure optimized by DFT (PBE) and Cu Ka.
Kinematic intensities with the Lorentz-polarization factor, no thermal factor.

Principal peaks in the range 2θ = 10–90°, in order of rising 2θ:
| two_theta | I_rel |
| --- | --- |
| 22.2 | 69 |
| 23.7 | 100 |
| 27.4 | 55 |
| 27.6 | 57 |
| 41.7 | 46 |
| 51.2 | 65 |

Structure:
```
CaZnSiSF
1.0
3.6846 0.0000 0.0000
1.8082 4.0176 0.0000
1.8258 0.5702 7.5223
Ca Zn Si S F
1 1 1 1 1
Direct
0.0000 0.0000 0.0000
0.7557 0.9484 0.5334
0.0893 0.3646 0.4662
0.2263 0.3809 0.1750
0.6231 0.9099 0.8412
```

(3)
Diffraction record for CaZnSiSF. The powder diffraction line list is computed, not measured: it uses a structure optimized by DFT (PBE) and Cu Ka.
Kinematic intensities with the Lorentz-polarization factor, no thermal factor.

Principal peaks in the range 2θ = 10–90°, in order of rising 2θ:
| two_theta | I_rel |
| --- | --- |
| 24.0 | 44 |
| 26.0 | 31 |
| 31.2 | 26 |
| 33.5 | 23 |
| 35.0 | 100 |
| 46.5 | 36 |

Structure:
```
CaZnSiSF
1.0
3.8587 0.0000 0.0000
0.0000 1.7612 7.4049
0.0000 -1.7612 7.4049
Ca Zn Si S F
1 1 1 1 1
Direct
0.0000 0.0000 0.0000
0.0000 0.2538 0.2538
0.5000 0.7230 0.7230
0.5000 0.5741 0.5741
0.0000 0.4032 0.4032
```

(4)
Diffraction record for CaSb4F12. The powder diffraction line list is computed, not measured: it uses a structure optimized by DFT (PBE) and Cu Ka.
Kinematic intensities with the Lorentz-polarization factor, no thermal factor.

Principal peaks in the range 2θ = 10–90°, in order of rising 2θ:
| two_theta | I_rel |
| --- | --- |
| 14.4 | 66 |
| 16.8 | 100 |
| 21.3 | 77 |
| 23.2 | 78 |
| 23.9 | 63 |
| 28.5 | 35 |

Structure:
```
CaSb4F12
1.0
7.0462 0.0000 0.0000
3.1709 6.7012 0.0000
0.0892 3.4500 7.4403
Ca Sb F
1 4 12
Direct
0.0000 0.0000 0.0000
0.3813 0.6794 0.5485
0.4346 0.1676 0.0700
0.7998 0.6002 0.9861
0.9434 0.0281 0.4938
0.0181 0.2598 0.3286
0.0706 0.6246 0.0412
0.1028 0.8487 0.2981
0.3389 0.9587 0.0212
0.4070 0.3131 0.8061
0.4814 0.8991 0.4016
0.5211 0.6629 0.7782
0.6938 0.2472 0.0795
0.7105 0.9132 0.0711
0.7982 0.8168 0.7499
0.9661 0.1234 0.6945
0.9972 0.3563 0.9219
```

(5)
Diffraction record for CaSe2F. The powder diffraction line list is computed, not measured: it uses a structure optimized by DFT (PBE) and Cu Ka.
Kinematic intensities with the Lorentz-polarization factor, no thermal factor.

Principal peaks in the range 2θ = 10–90°, in order of rising 2θ:
| two_theta | I_rel |
| --- | --- |
| 15.6 | 54 |
| 31.5 | 53 |
| 34.3 | 100 |
| 41.2 | 59 |
| 50.7 | 52 |
| 70.2 | 28 |

Structure:
```
CaSe2F
1.0
-1.8970 1.8970 11.3564
1.8970 -1.8970 11.3564
1.8970 1.8970 -11.3564
Ca Se F
2 4 2
Direct
0.0000 0.0000 0.0000
0.7500 0.2500 0.5000
0.1243 0.6250 0.9993
0.3750 0.3743 0.4993
0.6257 0.1250 0.0007
0.8750 0.8757 0.5007
0.2500 0.7500 0.5000
0.5000 0.5000 0.0000
```

(6)
Diffraction record for CaTlSiTeSeF. The powder diffraction line list is computed, not measured: it uses a structure optimized by DFT (PBE) and Cu Ka.
Kinematic intensities with the Lorentz-polarization factor, no thermal factor.

Principal peaks in the range 2θ = 10–90°, in order of rising 2θ:
| two_theta | I_rel |
| --- | --- |
| 17.8 | 35 |
| 26.1 | 60 |
| 28.2 | 100 |
| 31.9 | 45 |
| 33.6 | 59 |
| 34.0 | 79 |

Structure:
```
CaTlSiTeSeF
1.0
5.7269 -1.9123 0.0000
5.7269 1.9123 0.0000
-1.5428 0.0000 7.3485
Ca Tl Si Te Se F
1 1 1 1 1 1
Direct
0.0000 0.0000 0.0000
0.7784 0.7784 0.3590
0.1861 0.1861 0.6615
0.5196 0.5196 0.6332
0.2773 0.2773 0.9679
0.5554 0.5554 0.1475
```

(7)
Diffraction record for CaTlSiTeSeF. The powder diffraction line list is computed, not measured: it uses a structure optimized by DFT (PBE) and Cu Ka.
Kinematic intensities with the Lorentz-polarization factor, no thermal factor.

Principal peaks in the range 2θ = 10–90°, in order of rising 2θ:
| two_theta | I_rel |
| --- | --- |
| 28.4 | 62 |
| 29.1 | 73 |
| 29.7 | 67 |
| 32.2 | 100 |
| 32.5 | 51 |
| 37.0 | 68 |

Structure:
```
CaTlSiTeSeF
1.0
4.2340 0.0000 0.0000
0.0000 3.9913 0.0000
-0.2200 0.0000 9.1680
Ca Tl Si Te Se F
1 1 1 1 1 1
Direct
0.0000 0.0000 0.0000
0.9513 0.0000 0.6134
0.1696 0.5000 0.3341
0.4947 0.5000 0.8336
0.5078 0.0000 0.2837
0.0201 0.5000 0.1496
```

(8)
Diffraction record for CaTlSiTeSeF. The powder diffraction line list is computed, not measured: it uses a structure optimized by DFT (PBE) and Cu Ka.
Kinematic intensities with the Lorentz-polarization factor, no thermal factor.

Principal peaks in the range 2θ = 10–90°, in order of rising 2θ:
| two_theta | I_rel |
| --- | --- |
| 14.4 | 61 |
| 26.8 | 100 |
| 28.7 | 75 |
| 29.0 | 43 |
| 30.5 | 100 |
| 38.3 | 50 |

Structure:
```
CaTlSiTeSeF
1.0
6.8836 -1.9645 0.0000
6.8836 1.9645 0.0000
-1.7677 0.0000 6.1550
Ca Tl Si Te Se F
1 1 1 1 1 1
Direct
0.0000 0.0000 0.0000
0.6993 0.6993 0.5617
0.3250 0.3250 0.3000
0.9592 0.9592 0.4703
0.3231 0.3231 0.9342
0.5766 0.5766 0.0433
```

(9)
Diffraction record for CaTlSiTeSeF. The powder diffraction line list is computed, not measured: it uses a structure optimized by DFT (PBE) and Cu Ka.
Kinematic intensities with the Lorentz-polarization factor, no thermal factor.

Principal peaks in the range 2θ = 10–90°, in order of rising 2θ:
| two_theta | I_rel |
| --- | --- |
| 17.4 | 77 |
| 28.8 | 71 |
| 29.2 | 100 |
| 31.0 | 43 |
| 39.9 | 43 |
| 46.1 | 55 |

Structure:
```
CaTlSiTeSeF
1.0
7.4817 -1.9702 0.0000
7.4817 1.9702 0.0000
-1.2973 0.0000 5.7651
Ca Tl Si Te Se F
1 1 1 1 1 1
Direct
0.0000 0.0000 0.0000
0.3446 0.3446 0.4187
0.1761 0.1761 0.6855
0.6881 0.6881 0.0070
0.0188 0.0188 0.5112
0.4317 0.4317 0.9599
```

(10)
Diffraction record for CaTlSiTeSeF. The powder diffraction line list is computed, not measured: it uses a structure optimized by DFT (PBE) and Cu Ka.
Kinematic intensities with the Lorentz-polarization factor, no thermal factor.

Principal peaks in the range 2θ = 10–90°, in order of rising 2θ:
| two_theta | I_rel |
| --- | --- |
| 20.6 | 54 |
| 25.7 | 100 |
| 26.8 | 57 |
| 29.1 | 58 |
| 30.5 | 68 |
| 30.8 | 54 |

Structure:
```
CaTlSiTeSeF
1.0
5.9104 0.0000 0.0000
0.0000 3.9219 0.0000
-0.9944 0.0000 7.3765
Ca Tl Si Te Se F
1 1 1 1 1 1
Direct
0.0000 0.0000 0.0000
0.5181 0.5000 0.3335
0.3630 0.0000 0.6685
0.0442 0.5000 0.6332
0.4969 0.0000 0.9797
0.0262 0.5000 0.1360
```

(11)
Diffraction record for CaTlSiTeSeF. The powder diffraction line list is computed, not measured: it uses a structure optimized by DFT (PBE) and Cu Ka.
Kinematic intensities with the Lorentz-polarization factor, no thermal factor.

Principal peaks in the range 2θ = 10–90°, in order of rising 2θ:
| two_theta | I_rel |
| --- | --- |
| 14.1 | 56 |
| 17.5 | 49 |
| 27.6 | 49 |
| 28.3 | 92 |
| 30.2 | 100 |
| 39.3 | 43 |

Structure:
```
CaTlSiTeSeF
1.0
6.8724 -1.9600 0.0000
6.8724 1.9600 0.0000
-1.1607 0.0000 6.2657
Ca Tl Si Te Se F
1 1 1 1 1 1
Direct
0.0000 0.0000 0.0000
0.7016 0.7016 0.6417
0.3281 0.3281 0.3419
0.9604 0.9604 0.4775
0.3274 0.3274 0.9725
0.5751 0.5751 0.9983
```

(12)
Diffraction record for CaTeSeF. The powder diffraction line list is computed, not measured: it uses a structure optimized by DFT (PBE) and Cu Ka.
Kinematic intensities with the Lorentz-polarization factor, no thermal factor.

Principal peaks in the range 2θ = 10–90°, in order of rising 2θ:
| two_theta | I_rel |
| --- | --- |
| 17.6 | 48 |
| 21.4 | 37 |
| 24.3 | 100 |
| 32.1 | 33 |
| 36.8 | 68 |
| 47.4 | 31 |

Structure:
```
CaTeSeF
1.0
5.0423 0.0000 0.0000
0.0000 2.2545 5.3262
0.0000 -2.2545 5.3262
Ca Te Se F
1 1 1 1
Direct
0.0000 0.0000 0.0000
0.5000 0.2054 0.2054
0.5000 0.8331 0.8331
0.0000 0.5053 0.5053
```